Theoretical powder diffraction line list of AcB14Mo for Cu Kα (weighted mean of Kα1 and Kα2), from the GGA-PBE geometry in Alexandria.
Peak positions follow from Bragg's law for the DFT cell and can differ from measured ones.

Cell and atoms:
a = 5.9121 Å, b = 11.1475 Å, c = 8.3993 Å
α = 90.00°, β = 90.00°, γ = 90.00°
Space group Imma (No. 74)
One atom of each set of equivalent atoms:
Ac 0.0000 0.2500 0.1278
B 0.0000 0.0803 0.6679
B 0.0000 0.1166 0.8654
B 0.0000 0.1660 0.4723
B 0.1607 0.0597 0.3414
B 0.2470 0.0753 0.5512
Mo 0.2500 0.2500 0.7500

Peak list (8 most intense, 5 to 70 degrees two-theta, in order of rising 2θ)
- 15.90 deg, d 5.574, I = 100, hkl 0 2 0
- 18.35 deg, d 4.835, I = 32, hkl 1 0 1
- 24.37 deg, d 3.652, I = 53, hkl 1 2 1
- 27.25 deg, d 3.273, I = 69, hkl 1 1 2
- 32.99 deg, d 2.715, I = 29, hkl 0 1 3
- 33.12 deg, d 2.705, I = 61, hkl 2 1 1
- 35.66 deg, d 2.518, I = 45, hkl 1 3 2
- 40.44 deg, d 2.230, I = 46, hkl 2 3 1

Theoretical powder diffraction line list of Ac2BN2 for Cu Kα (weighted mean of Kα1 and Kα2), from the GGA-PBE geometry in Alexandria.
Peak positions follow from Bragg's law for the DFT cell and can differ from measured ones.

Cell and atoms:
a = 3.1547 Å, b = 17.2541 Å, c = 6.6361 Å
α = 90.00°, β = 90.00°, γ = 90.00°
Space group Cmc2_1 (No. 36)
One atom of each set of equivalent atoms:
Ac 0.0000 0.0462 0.0000
Ac 0.0000 0.1693 0.5365
B 0.0000 0.3295 0.6699
N 0.0000 0.2049 0.1230
N 0.0000 0.4395 0.1829

Peak list (8 most intense, 5 to 70 degrees two-theta, in order of rising 2θ)
- 24.62 deg, d 3.617, I = 100, hkl 0 4 1
- 26.87 deg, d 3.318, I = 52, hkl 0 0 2
- 28.77 deg, d 3.103, I = 49, hkl 1 1 0
- 35.15 deg, d 2.553, I = 18, hkl 1 3 1
- 39.77 deg, d 2.266, I = 42, hkl 1 1 2
- 41.08 deg, d 2.197, I = 63, hkl 1 5 1
- 46.12 deg, d 1.968, I = 22, hkl 0 4 3
- 57.46 deg, d 1.604, I = 19, hkl 1 5 3